This entry pairs a crystal structure of Sr2Al3FeO8 with its theoretical powder X-ray diffraction pattern. Radiation: Cu Kα, 1.54184 Å. Structure: DFT lattice parameters and positions (GGA+U).
No peak broadening, texture or thermal motion is included.

Principal peaks in the range 15 to 90 degrees two-theta, sorted by position:
4.561 Å, 2θ = 19.5°, I = 31; 3.214 Å, 2θ = 27.8°, I = 100; 3.098 Å, 2θ = 28.8°, I = 90; 3.030 Å, 2θ = 29.5°, I = 69; 2.645 Å, 2θ = 33.9°, I = 37; 2.610 Å, 2θ = 34.4°, I = 80; 2.480 Å, 2θ = 36.2°, I = 23; 1.991 Å, 2θ = 45.6°, I = 23; 1.964 Å, 2θ = 46.2°, I = 24; 1.567 Å, 2θ = 58.9°, I = 23

Structure:
```
Sr2Al3FeO8
1.0
5.303 0.000 0.000
0.000 9.001 0.000
-0.587 0.000 8.543
Sr Al Fe O
4 6 2 16
Cartesian
1.046 0.000 0.252
1.044 0.094 4.152
3.672 4.595 4.392
3.670 4.501 8.291
0.864 6.090 2.770
0.749 6.169 6.061
1.332 3.166 1.751
3.384 7.667 6.792
3.967 1.668 2.482
3.852 1.589 5.773
1.061 3.059 6.896
3.655 7.560 1.648
-0.196 7.282 7.061
0.064 4.542 6.272
0.037 1.472 6.746
0.327 6.581 4.391
1.639 4.511 2.873
1.905 3.640 0.136
1.891 7.452 2.288
2.198 1.686 2.267
2.518 6.187 6.276
2.825 2.952 6.255
2.811 8.141 8.407
3.077 0.010 5.671
4.389 2.080 4.152
4.679 5.973 1.797
4.652 0.042 2.271
4.912 2.781 1.482
```

This entry pairs a crystal structure of Sr2AlTlFe2O7 with its theoretical powder X-ray diffraction pattern. Radiation: Cu Kα, 1.54184 Å. Structure: DFT lattice parameters and positions (GGA+U).
No peak broadening, texture or thermal motion is included.

Principal peaks in the range 15 to 90 degrees two-theta, sorted by position:
3.250 Å, 2θ = 27.4°, I = 34; 2.846 Å, 2θ = 31.4°, I = 100; 2.642 Å, 2θ = 33.9°, I = 50; 2.634 Å, 2θ = 34.0°, I = 23; 2.591 Å, 2θ = 34.6°, I = 22; 1.867 Å, 2θ = 48.8°, I = 45; 1.688 Å, 2θ = 54.3°, I = 23; 1.562 Å, 2θ = 59.2°, I = 33; 1.524 Å, 2θ = 60.8°, I = 16; 1.181 Å, 2θ = 81.5°, I = 14

Structure:
```
Sr2AlTlFe2O7
1.0
3.737 0.000 0.000
0.000 3.737 0.000
0.000 0.000 13.169
Sr Al Tl Fe O
2 1 1 2 7
Cartesian
0.000 0.000 2.459
0.000 0.000 10.709
0.000 0.000 6.584
1.869 1.869 0.000
1.869 1.869 4.752
1.869 1.869 8.417
0.000 0.000 0.000
0.000 1.869 5.362
0.000 1.869 7.807
1.869 0.000 5.362
1.869 0.000 7.807
1.869 1.869 2.825
1.869 1.869 10.344
```

This entry pairs a crystal structure of Sr2AlV2GaO7 with its theoretical powder X-ray diffraction pattern. Radiation: Cu Kα, 1.54184 Å. Structure: DFT lattice parameters and positions (GGA+U).
No peak broadening, texture or thermal motion is included.

Principal peaks in the range 15 to 90 degrees two-theta, sorted by position:
3.283 Å, 2θ = 27.2°, I = 44; 3.241 Å, 2θ = 27.5°, I = 54; 2.937 Å, 2θ = 30.4°, I = 72; 2.791 Å, 2θ = 32.1°, I = 91; 2.733 Å, 2θ = 32.8°, I = 96; 2.708 Å, 2θ = 33.1°, I = 100; 2.205 Å, 2θ = 40.9°, I = 52; 2.043 Å, 2θ = 44.3°, I = 37; 2.003 Å, 2θ = 45.3°, I = 31; 1.790 Å, 2θ = 51.0°, I = 26

Structure:
```
Sr2AlV2GaO7
1.0
4.012 -11.028 0.000
4.012 11.028 0.000
-3.803 0.000 4.086
Sr Al V Ga O
4 2 4 2 14
Cartesian
4.012 8.927 0.000
-0.135 2.239 3.801
-0.135 -2.239 3.801
4.012 -8.927 0.000
0.696 5.922 3.993
0.696 -5.922 3.993
1.943 6.958 1.830
2.001 3.964 1.989
2.001 -3.964 1.989
1.943 -6.958 1.830
2.133 0.000 2.355
5.513 0.000 1.658
-1.732 4.127 3.885
2.274 9.355 1.929
3.897 6.821 1.349
1.863 1.697 1.618
-1.732 -4.127 3.885
1.336 4.234 4.058
1.863 -1.697 1.618
1.063 0.000 3.948
4.026 4.145 2.630
3.976 0.000 2.826
1.336 -4.234 4.058
2.274 -9.354 1.929
3.897 -6.821 1.349
4.026 -4.145 2.630
```